No. 1
This entry pairs a crystal structure of Ti3H2O7 with its computed X-ray diffraction stick pattern. Radiation: Cu Kα (weighted mean of Kα1 and Kα2). Structure: a cell relaxed with PBE.
Lines closer than 0.1° are merged.

The 10 most intense peaks (10 to 90 degrees two-theta), by intensity:
2θ/deg	intensity
11.00	100
24.13	47
16.30	29
34.90	23
48.02	18
43.92	17
29.61	17
31.74	17
28.85	15
53.13	10

a b c (Å): 16.496 3.789 9.284
angles (deg): 90.00 102.88 90.00
Space group Cm (No. 8)
Asymmetric unit:
Ti 0.000 0.000 0.000
Ti 0.048 0.500 0.568
Ti 0.105 0.500 0.251
Ti 0.174 0.500 0.961
Ti 0.396 0.500 0.603
Ti 0.449 0.500 0.308
H 0.101 0.000 0.832
H 0.204 0.500 0.528
H 0.282 0.500 0.742
H 0.344 0.500 0.020
O 0.022 0.000 0.528
O 0.032 0.500 0.035
O 0.072 0.000 0.230
O 0.108 0.500 0.749
O 0.127 0.000 0.939
O 0.144 0.500 0.464
O 0.194 0.500 0.168
O 0.272 0.500 0.925
O 0.290 0.500 0.637
O 0.362 0.500 0.388
O 0.408 0.500 0.094
O 0.431 0.000 0.600
O 0.451 0.500 0.813
O 0.486 0.000 0.326

No. 2
This entry pairs a crystal structure of Sc2ReB6 with its computed X-ray diffraction stick pattern. Radiation: Cu Kα (weighted mean of Kα1 and Kα2). Structure: a cell relaxed with PBE.
Lines closer than 0.1° are merged.

The 10 most intense peaks (10 to 90 degrees two-theta), by intensity:
2θ/deg	intensity
33.44	100
25.32	90
21.41	89
18.68	65
42.44	64
40.54	63
15.80	56
46.77	49
67.59	37
38.65	35

a b c (Å): 8.932 11.221 3.518
angles (deg): 90.00 90.00 90.00
Space group Pbam (No. 55)
Asymmetric unit:
Sc 0.055 0.129 0.000
Sc 0.178 0.413 0.000
Re 0.140 0.680 0.000
B 0.020 0.287 0.500
B 0.053 0.565 0.500
B 0.097 0.973 0.500
B 0.131 0.818 0.500
B 0.204 0.235 0.500
B 0.246 0.078 0.500

No. 3
This entry pairs a crystal structure of Zr37Mo15P4 with its computed X-ray diffraction stick pattern. Radiation: Cu Kα (weighted mean of Kα1 and Kα2). Structure: a cell relaxed with PBE.
Lines closer than 0.1° are merged.

The 10 most intense peaks (10 to 90 degrees two-theta), by intensity:
2θ/deg	intensity
37.48	100
37.01	60
41.20	41
38.89	37
31.19	31
64.66	25
65.07	22
11.67	22
62.08	21
32.82	20

a b c (Å): 8.7558 8.7558 17.5508
angles (deg): 90.00 90.00 120.00
Space group P-3m1 (No. 164)
Asymmetric unit:
Zr 0.0000 0.0000 0.0000
Zr 0.0728 0.5364 0.6250
Zr 0.0736 0.5368 0.1251
Zr 0.1983 0.3966 0.2745
Zr 0.1983 0.3967 0.4761
Zr 0.1984 0.3967 0.7739
Zr 0.2005 0.4010 0.9758
Mo 0.0000 0.0000 0.2511
Mo 0.0000 0.0000 0.5000
Mo 0.1086 0.2172 0.6249
Mo 0.1106 0.2213 0.1275
P 0.3333 0.6667 0.3750
P 0.3333 0.6667 0.8742

No. 4
This entry pairs a crystal structure of Ca2Al4Si8H14O31 with its computed X-ray diffraction stick pattern. Radiation: Cu Kα (weighted mean of Kα1 and Kα2). Structure: a cell relaxed with PBE.
Lines closer than 0.1° are merged.

The 10 most intense peaks (10 to 90 degrees two-theta), by intensity:
2θ/deg	intensity
18.88	100
19.76	56
24.29	48
21.16	32
21.72	30
13.82	26
11.96	26
23.45	25
24.02	25
23.58	18

a b c (Å): 8.981 9.291 9.844
angles (deg): 102.13 90.39 98.03
Space group P1 (No. 1)
Asymmetric unit:
Ca 0.000 0.000 0.000
Ca 0.273 0.948 0.360
Al 0.527 0.338 0.742
Al 0.617 0.792 0.113
Al 0.685 0.332 0.396
Al 0.940 0.741 0.720
Si 0.008 0.575 0.873
Si 0.267 0.502 0.590
Si 0.374 0.098 0.737
Si 0.481 0.465 0.343
Si 0.504 0.991 0.020
Si 0.729 0.487 0.026
Si 0.749 0.149 0.547
Si 0.916 0.959 0.610
H 0.006 0.969 0.256
H 0.040 0.319 0.350
H 0.051 0.359 0.616
H 0.067 0.123 0.517
H 0.163 0.410 0.910
H 0.216 0.643 0.655
H 0.290 0.205 0.995
H 0.349 0.509 0.799
H 0.442 0.510 0.214
H 0.444 0.198 0.157
H 0.488 0.899 0.777
H 0.660 0.888 0.453
H 0.704 0.363 0.098
H 0.906 0.528 0.324
O 0.005 0.349 0.265
O 0.044 0.758 0.889
O 0.052 0.014 0.504
O 0.100 0.979 0.206
O 0.134 0.357 0.550
O 0.167 0.501 0.872
O 0.198 0.219 0.940
O 0.200 0.095 0.816
O 0.347 0.519 0.448
O 0.357 0.996 0.585
O 0.396 0.473 0.707
O 0.421 0.146 0.056
O 0.456 0.979 0.201
O 0.468 0.994 0.834
O 0.492 0.285 0.317
O 0.497 0.848 0.256
O 0.501 0.809 0.973
O 0.623 0.449 0.886
O 0.636 0.278 0.594
O 0.646 0.522 0.423
O 0.692 0.060 0.046
O 0.700 0.641 0.128
O 0.712 0.957 0.534
O 0.765 0.944 0.097
O 0.778 0.176 0.393
O 0.877 0.421 0.320
O 0.883 0.153 0.659
O 0.896 0.931 0.773
O 0.910 0.509 0.990
O 0.919 0.545 0.720
O 0.934 0.777 0.552

No. 5
This entry pairs a crystal structure of MgAlMoS4 with its computed X-ray diffraction stick pattern. Radiation: Cu Kα (weighted mean of Kα1 and Kα2). Structure: a cell relaxed with PBE.
Lines closer than 0.1° are merged.

The 10 most intense peaks (10 to 90 degrees two-theta), by intensity:
2θ/deg	intensity
34.56	100
14.88	89
49.68	64
28.34	56
28.60	36
45.56	23
17.09	18
49.11	16
50.19	16
83.25	16

a b c (Å): 7.270 7.420 10.375
angles (deg): 90.00 90.00 90.00
Space group Imma (No. 74)
Asymmetric unit:
Mg 0.000 0.250 0.127
Al 0.250 0.250 0.750
Mo 0.000 0.000 0.500
S 0.000 0.028 0.742
S 0.231 0.250 0.516

No. 6
This entry pairs a crystal structure of CrH9Br3N3 with its computed X-ray diffraction stick pattern. Radiation: Cu Kα (weighted mean of Kα1 and Kα2). Structure: a cell relaxed with PBE.
Lines closer than 0.1° are merged.

The 10 most intense peaks (10 to 90 degrees two-theta), by intensity:
2θ/deg	intensity
20.10	100
31.57	95
32.51	88
22.31	85
22.70	79
30.07	58
29.76	53
40.85	53
30.63	45
30.92	44

a b c (Å): 6.036 6.933 9.976
angles (deg): 86.13 86.48 85.04
Space group P-1 (No. 2)
Asymmetric unit:
Cr 0.000 0.000 0.000
Cr 0.500 0.500 0.500
H 0.094 0.972 0.733
H 0.103 0.631 0.095
H 0.108 0.341 0.476
H 0.243 0.350 0.327
H 0.250 0.772 0.173
H 0.251 0.132 0.785
H 0.317 0.183 0.443
H 0.321 0.897 0.809
H 0.332 0.710 0.022
Br 0.262 0.215 0.086
Br 0.266 0.806 0.429
Br 0.296 0.495 0.727
N 0.187 0.000 0.810
N 0.192 0.751 0.080
N 0.265 0.327 0.429

No. 7
This entry pairs a crystal structure of Li3NbCu4O8 with its computed X-ray diffraction stick pattern. Radiation: Cu Kα (weighted mean of Kα1 and Kα2). Structure: a cell relaxed with PBE.
Lines closer than 0.1° are merged.

The 10 most intense peaks (10 to 90 degrees two-theta), by intensity:
2θ/deg	intensity
17.84	100
43.95	99
37.81	69
36.57	47
18.05	43
31.66	34
59.89	32
58.78	32
35.31	27
35.94	25

a b c (Å): 11.086 5.738 5.923
angles (deg): 90.00 120.86 90.00
Space group C2/m (No. 12)
Asymmetric unit:
Li 0.000 0.000 0.000
Li 0.250 0.250 0.500
Nb 0.000 0.500 0.500
Cu 0.000 0.000 0.500
Cu 0.000 0.500 0.000
Cu 0.250 0.250 0.000
O 0.024 0.243 0.290
O 0.209 0.500 0.181
O 0.217 0.500 0.734

No. 8
This entry pairs a crystal structure of AcSnAu2 with its computed X-ray diffraction stick pattern. Radiation: Cu Kα (weighted mean of Kα1 and Kα2). Structure: a cell relaxed with PBE.
Lines closer than 0.1° are merged.

The 10 most intense peaks (10 to 90 degrees two-theta), by intensity:
2θ/deg	intensity
34.08	100
61.00	39
48.96	18
81.87	17
71.75	12
20.67	4
40.19	2
53.69	1
65.14	1
75.60	1

a b c (Å): 7.442 7.442 7.442
angles (deg): 90.00 90.00 90.00
Space group Fm-3m (No. 225)
Asymmetric unit:
Ac 0.000 0.000 0.000
Sn 0.000 0.000 0.500
Au 0.250 0.250 0.250